For AcP2Rh4, DFT lattice parameters and positions (GGA-PBE) gives the theoretical XRD peak list in this record (copper Kα).
Lines closer than 0.1° are merged.

Crystal structure
```
data_AcP2Rh4
_space_group_name_H-M_alt 'P n m a'
_space_group_IT_number 62
_space_group_name_Hall '-P 2ac 2n'
_cell_length_a 17.203
_cell_length_b 4.006
_cell_length_c 6.907
_cell_angle_alpha 90.00
_cell_angle_beta 90.00
_cell_angle_gamma 90.00
loop_
_atom_site_label
_atom_site_type_symbol
_atom_site_fract_x
_atom_site_fract_y
_atom_site_fract_z
_atom_site_occupancy
Ac1 Ac 0.108 0.250 0.036 1
P1 P 0.053 0.750 0.676 1
P2 P 0.245 0.250 0.516 1
Rh1 Rh 0.030 0.750 0.331 1
Rh2 Rh 0.114 0.250 0.514 1
Rh3 Rh 0.191 0.750 0.720 1
Rh4 Rh 0.201 0.750 0.320 1
```

Most intense lines, 2θ = 5–70°, by intensity:
| hkl | d [Å] | Rel. int. |
| --- | --- | --- |
| 2 1 2 | 2.503 | 100 |
| 6 1 0 | 2.332 | 72 |
| 4 0 2 | 2.694 | 44 |
| 0 2 0 | 2.003 | 40 |
| 5 0 1 | 3.080 | 21 |
| 3 1 1 | 2.964 | 20 |

For LiBiBr4, DFT lattice parameters and positions (GGA-PBE) gives the theoretical XRD peak list in this record (copper Kα).
Lines closer than 0.1° are merged.

Crystal structure
```
data_LiBiBr4
_space_group_name_H-M_alt 'C 1 2/m 1'
_space_group_IT_number 12
_space_group_name_Hall '-C 2y'
_cell_length_a 15.987
_cell_length_b 4.135
_cell_length_c 7.106
_cell_angle_alpha 90.00
_cell_angle_beta 115.61
_cell_angle_gamma 90.00
loop_
_atom_site_label
_atom_site_type_symbol
_atom_site_fract_x
_atom_site_fract_y
_atom_site_fract_z
_atom_site_occupancy
Li1 Li 0.000 0.000 0.000 1
Bi1 Bi 0.000 0.500 0.500 1
Br1 Br 0.104 0.500 0.260 1
Br2 Br 0.117 0.000 0.782 1
```

Most intense lines, 2θ = 5–70°, by intensity:
| hkl | d [Å] | Rel. int. |
| --- | --- | --- |
| 2 0 0 | 7.208 | 100 |
| 1 1 1 | 3.211 | 87 |
| 3 1 1 | 2.547 | 55 |
| 4 0 -2 | 3.170 | 46 |
| 7 1 -1 | 1.987 | 41 |
| 2 0 -1 | 6.339 | 40 |

For RbMgCdSn2, DFT lattice parameters and positions (GGA-PBE) gives the theoretical XRD peak list in this record (copper Kα).
Lines closer than 0.1° are merged.

Crystal structure
```
data_RbMgCdSn2
_space_group_name_H-M_alt 'I -4 m 2'
_space_group_IT_number 119
_space_group_name_Hall 'I -4 -2'
_cell_length_a 4.983
_cell_length_b 4.983
_cell_length_c 12.433
_cell_angle_alpha 90.00
_cell_angle_beta 90.00
_cell_angle_gamma 90.00
loop_
_atom_site_label
_atom_site_type_symbol
_atom_site_fract_x
_atom_site_fract_y
_atom_site_fract_z
_atom_site_occupancy
Rb1 Rb 0.000 0.000 0.000 1
Mg1 Mg 0.000 0.500 0.250 1
Cd1 Cd 0.000 0.500 0.750 1
Sn1 Sn 0.000 0.000 0.382 1
```

Most intense lines, 2θ = 5–70°, by intensity:
| hkl | d [Å] | Rel. int. |
| --- | --- | --- |
| 1 0 3 | 3.186 | 100 |
| 2 0 0 | 2.491 | 91 |
| 1 1 2 | 3.065 | 91 |
| 1 0 1 | 4.625 | 65 |
| 1 1 4 | 2.331 | 59 |
| 1 0 5 | 2.225 | 56 |